[1]
Nb2PbO6: calculated X-ray diffraction stick pattern (Cu Kα, 1.54184 Å), based on a structure optimized by DFT (GGA-PBE).
Peak positions follow from Bragg's law for the DFT cell and can differ from measured ones.

Main lines, low angle first (2θ = 10–90°):
5.333 Å, I 149; 3.174 Å, I 1000; 3.079 Å, I 863; 2.210 Å, I 322; 1.796 Å, I 434; 1.778 Å, I 191; 1.663 Å, I 222; 1.540 Å, I 107; 1.385 Å, I 160; 1.169 Å, I 106

Cell: 7.3163 7.3163 7.3163 Å, 93.60 93.60 93.60°
Element x y z (fractional)
Nb 0.0234 0.6665 0.3662
Nb 0.3335 0.6338 0.9766
Nb 0.3662 0.0234 0.6665
Nb 0.6338 0.9766 0.3335
Nb 0.6665 0.3662 0.0234
Nb 0.9766 0.3335 0.6338
Pb 0.1809 0.1809 0.1809
Pb 0.5000 0.5000 0.5000
Pb 0.8191 0.8191 0.8191
O 0.1182 0.4047 0.4052
O 0.1202 0.1204 0.6637
O 0.1204 0.6637 0.1202
O 0.2182 0.5002 0.7756
O 0.2244 0.7818 0.4998
O 0.3363 0.8798 0.8796
O 0.4052 0.1182 0.4047
O 0.4047 0.4052 0.1182
O 0.4998 0.2244 0.7818
O 0.5002 0.7756 0.2182
O 0.5953 0.5948 0.8818
O 0.5948 0.8818 0.5953
O 0.6637 0.1202 0.1204
O 0.7756 0.2182 0.5002
O 0.7818 0.4998 0.2244
O 0.8796 0.3363 0.8798
O 0.8798 0.8796 0.3363
O 0.8818 0.5953 0.5948

***

[2]
ScNbPb2O6: calculated X-ray diffraction stick pattern (Cu Kα, 1.54184 Å), based on a structure optimized by DFT (GGA-PBE).
Peak positions follow from Bragg's law for the DFT cell and can differ from measured ones.

Main lines, low angle first (2θ = 10–90°):
4.114 Å, I 224; 2.909 Å, I 1000; 2.375 Å, I 196; 2.057 Å, I 292; 1.840 Å, I 124; 1.680 Å, I 409; 1.455 Å, I 183; 1.301 Å, I 180; 1.240 Å, I 71; 1.100 Å, I 227

Cell: 5.8184 5.8184 5.8184 Å, 60.00 60.00 60.00°
Element x y z (fractional)
Sc 0.0000 0.0000 0.0000
Nb 0.5000 0.5000 0.5000
Pb 0.2500 0.2500 0.2500
Pb 0.7500 0.7500 0.7500
O 0.2552 0.2552 0.7448
O 0.2552 0.7448 0.2552
O 0.2552 0.7448 0.7448
O 0.7448 0.2552 0.2552
O 0.7448 0.2552 0.7448
O 0.7448 0.7448 0.2552

***

[3]
Nb2ZnPb3O9: calculated X-ray diffraction stick pattern (Cu Kα, 1.54184 Å), based on a structure optimized by DFT (GGA-PBE).
Peak positions follow from Bragg's law for the DFT cell and can differ from measured ones.

Main lines, low angle first (2θ = 10–90°):
4.184 Å, I 259; 2.979 Å, I 487; 2.937 Å, I 1000; 2.912 Å, I 783; 2.095 Å, I 221; 2.087 Å, I 154; 2.045 Å, I 157; 1.703 Å, I 117; 1.688 Å, I 136; 1.685 Å, I 160

Cell: 4.1914 5.8184 9.2166 Å, 72.78 89.98 89.16°
Element x y z (fractional)
Nb 0.0000 0.0000 0.0000
Nb 0.0013 0.6489 0.6863
Zn 0.0109 0.2915 0.3477
Pb 0.4291 0.7689 0.3509
Pb 0.4756 0.1635 0.6275
Pb 0.4873 0.4562 0.0668
O 0.0613 0.1814 0.1522
O 0.0637 0.3321 0.8352
O 0.0665 0.8367 0.8366
O 0.0692 0.9764 0.5223
O 0.0739 0.6938 0.1597
O 0.0759 0.5004 0.5163
O 0.5333 0.3540 0.3395
O 0.5546 0.0077 0.9978
O 0.5550 0.6613 0.6760